# 1
For AlMo2Au, a cell relaxed with PBE gives the computed powder X-ray diffraction pattern in this record (Cu Kα, 1.54184 Å).

```
data_AlMo2Au
_space_group_name_H-M_alt 'P 1'
_space_group_IT_number 1
_cell_length_a 2.774
_cell_length_b 4.359
_cell_length_c 5.322
_cell_angle_alpha 90.00
_cell_angle_beta 95.08
_cell_angle_gamma 90.00
loop_
_space_group_symop_operation_xyz
'x,y,z'
loop_
_atom_site_label
_atom_site_type_symbol
_atom_site_fract_x
_atom_site_fract_y
_atom_site_fract_z
Al1 Al 0.000 0.000 0.000
Mo1 Mo 0.461 0.500 0.232
Mo2 Mo 0.539 0.500 0.768
Au1 Au 0.000 0.000 0.500
```

Principal peaks in the range 2θ from 15° to 90°, by angle:
16.72°, I = 47; 26.47°, I = 57; 38.58°, I = 100; 39.80°, I = 92; 41.07°, I = 19; 41.43°, I = 42; 45.26°, I = 32; 49.72°, I = 22; 63.02°, I = 24; 66.67°, I = 23


# 2
For SmTlBi2O6, a cell relaxed with PBE gives the computed powder X-ray diffraction pattern in this record (Cu Kα, 1.54184 Å).

```
data_SmTlBi2O6
_space_group_name_H-M_alt 'P 1'
_space_group_IT_number 1
_cell_length_a 6.217
_cell_length_b 6.217
_cell_length_c 6.217
_cell_angle_alpha 58.63
_cell_angle_beta 58.63
_cell_angle_gamma 58.63
loop_
_space_group_symop_operation_xyz
'x,y,z'
loop_
_atom_site_label
_atom_site_type_symbol
_atom_site_fract_x
_atom_site_fract_y
_atom_site_fract_z
Sm1 Sm 0.000 0.000 0.000
Tl1 Tl 0.500 0.500 0.500
Bi1 Bi 0.286 0.286 0.286
Bi2 Bi 0.782 0.782 0.782
O1 O 0.118 0.673 0.367
O2 O 0.177 0.624 0.858
O3 O 0.367 0.118 0.673
O4 O 0.624 0.858 0.177
O5 O 0.673 0.367 0.118
O6 O 0.858 0.177 0.624
```

Principal peaks in the range 2θ from 15° to 90°, by angle:
20.42°, I = 17; 28.73°, I = 93; 29.35°, I = 100; 41.54°, I = 40; 46.30°, I = 28; 51.67°, I = 42; 52.05°, I = 27; 60.88°, I = 14; 68.68°, I = 16; 84.16°, I = 12


# 3
For Li4Sm3Ag4, a cell relaxed with PBE gives the computed powder X-ray diffraction pattern in this record (Cu Kα, 1.54184 Å).

```
data_Li4Sm3Ag4
_space_group_name_H-M_alt 'P 1'
_space_group_IT_number 1
_cell_length_a 8.574
_cell_length_b 8.574
_cell_length_c 8.574
_cell_angle_alpha 151.36
_cell_angle_beta 125.72
_cell_angle_gamma 62.52
loop_
_space_group_symop_operation_xyz
'x,y,z'
loop_
_atom_site_label
_atom_site_type_symbol
_atom_site_fract_x
_atom_site_fract_y
_atom_site_fract_z
Li1 Li 0.017 0.824 0.193
Li2 Li 0.369 0.176 0.193
Li3 Li 0.631 0.824 0.807
Li4 Li 0.983 0.176 0.807
Sm1 Sm 0.000 0.500 0.500
Sm2 Sm 0.378 0.378 0.000
Sm3 Sm 0.622 0.622 0.000
Ag1 Ag 0.218 0.718 0.500
Ag2 Ag 0.309 0.000 0.309
Ag3 Ag 0.691 0.000 0.691
Ag4 Ag 0.782 0.282 0.500
```

Principal peaks in the range 2θ from 15° to 90°, by angle:
22.73°, I = 36; 27.86°, I = 27; 31.71°, I = 89; 32.62°, I = 29; 34.31°, I = 100; 42.64°, I = 24; 46.62°, I = 25; 65.01°, I = 18; 65.91°, I = 18; 68.90°, I = 20


# 4
For La2PmPr6, a cell relaxed with PBE gives the computed powder X-ray diffraction pattern in this record (Cu Kα, 1.54184 Å).

```
data_La2PmPr6
_space_group_name_H-M_alt 'P 1'
_space_group_IT_number 1
_cell_length_a 10.198
_cell_length_b 10.198
_cell_length_c 3.617
_cell_angle_alpha 90.00
_cell_angle_beta 90.00
_cell_angle_gamma 120.23
loop_
_space_group_symop_operation_xyz
'x,y,z'
loop_
_atom_site_label
_atom_site_type_symbol
_atom_site_fract_x
_atom_site_fract_y
_atom_site_fract_z
La1 La 0.167 0.833 0.000
La2 La 0.833 0.167 0.000
Pm1 Pm 0.500 0.500 0.000
Pr1 Pr 0.167 0.499 0.500
Pr2 Pr 0.169 0.169 0.500
Pr3 Pr 0.499 0.167 0.500
Pr4 Pr 0.501 0.833 0.500
Pr5 Pr 0.831 0.831 0.500
Pr6 Pr 0.833 0.501 0.500
```

Principal peaks in the range 2θ from 15° to 90°, by angle:
30.31°, I = 100; 30.43°, I = 54; 39.50°, I = 9; 43.43°, I = 19; 43.53°, I = 9; 53.86°, I = 9; 53.99°, I = 30; 60.06°, I = 23; 63.33°, I = 7; 76.99°, I = 8


# 5
For Tb3DySc5, a cell relaxed with PBE gives the computed powder X-ray diffraction pattern in this record (Cu Kα, 1.54184 Å).

```
data_Tb3DySc5
_space_group_name_H-M_alt 'P 1'
_space_group_IT_number 1
_cell_length_a 9.262
_cell_length_b 9.262
_cell_length_c 9.262
_cell_angle_alpha 126.51
_cell_angle_beta 126.51
_cell_angle_gamma 79.05
loop_
_space_group_symop_operation_xyz
'x,y,z'
loop_
_atom_site_label
_atom_site_type_symbol
_atom_site_fract_x
_atom_site_fract_y
_atom_site_fract_z
Tb1 Tb 0.119 0.619 0.738
Tb2 Tb 0.250 0.250 0.000
Tb3 Tb 0.381 0.119 0.500
Tb4 Tb 0.619 0.881 0.500
Tb5 Tb 0.750 0.750 0.000
Tb6 Tb 0.881 0.381 0.262
Dy1 Dy 0.250 0.750 0.500
Dy2 Dy 0.750 0.250 0.500
Sc1 Sc 0.000 0.000 0.000
Sc2 Sc 0.072 0.158 0.500
Sc3 Sc 0.158 0.658 0.086
Sc4 Sc 0.342 0.428 0.500
Sc5 Sc 0.428 0.928 0.086
Sc6 Sc 0.500 0.500 0.000
Sc7 Sc 0.572 0.072 0.914
Sc8 Sc 0.658 0.572 0.500
Sc9 Sc 0.842 0.342 0.914
Sc10 Sc 0.928 0.842 0.500
```

Principal peaks in the range 2θ from 15° to 90°, by angle:
21.32°, I = 27; 24.70°, I = 72; 24.93°, I = 45; 30.32°, I = 54; 30.45°, I = 72; 32.87°, I = 29; 33.02°, I = 100; 39.48°, I = 35; 39.71°, I = 39; 45.32°, I = 56


# 6
For In5Hg4Pb2, a cell relaxed with PBE gives the computed powder X-ray diffraction pattern in this record (Cu Kα, 1.54184 Å).

```
data_In5Hg4Pb2
_space_group_name_H-M_alt 'P 1'
_space_group_IT_number 1
_cell_length_a 6.231
_cell_length_b 6.231
_cell_length_c 9.545
_cell_angle_alpha 103.63
_cell_angle_beta 103.63
_cell_angle_gamma 99.80
loop_
_space_group_symop_operation_xyz
'x,y,z'
loop_
_atom_site_label
_atom_site_type_symbol
_atom_site_fract_x
_atom_site_fract_y
_atom_site_fract_z
In1 In 0.000 0.000 0.000
In2 In 0.000 0.500 0.000
In3 In 0.340 0.660 0.500
In4 In 0.500 0.000 0.000
In5 In 0.660 0.340 0.500
Hg1 Hg 0.072 0.684 0.726
Hg2 Hg 0.316 0.928 0.274
Hg3 Hg 0.684 0.072 0.726
Hg4 Hg 0.928 0.316 0.274
Pb1 Pb 0.180 0.180 0.655
Pb2 Pb 0.820 0.820 0.345
```

Principal peaks in the range 2θ from 15° to 90°, by angle:
15.07°, I = 46; 30.79°, I = 55; 30.92°, I = 61; 31.28°, I = 44; 34.21°, I = 76; 34.79°, I = 100; 34.96°, I = 28; 37.75°, I = 32; 45.05°, I = 30; 49.34°, I = 33